Record 1
This entry pairs a crystal structure of CePuGaHg with its theoretical powder diffraction line list. Radiation: Cu Kα. Structure: a structure optimized by DFT (GGA-PBE).
Kinematic intensities with the Lorentz-polarization factor, no thermal factor.

Cell and atoms:
```
CePuGaHg
1.0
3.218 0.000 0.000
0.000 3.218 0.000
0.000 0.000 9.156
Ce Pu Ga Hg
1 1 1 1
direct
0.000 0.000 0.000
0.000 0.000 0.531
0.500 0.500 0.765
0.500 0.500 0.267
```

Principal peaks in the range 2θ = 15–90°, in order of rising 2θ:
2θ (°)	Rel. int.
29.26	6
29.42	12
34.05	100
39.36	16
39.61	34
50.00	5
57.07	22
57.26	12
57.94	5
67.99	12
68.32	27
71.70	11

Record 2
This entry pairs a crystal structure of K2AgICl4 with its theoretical powder diffraction line list. Radiation: Cu Kα. Structure: a structure optimized by DFT (GGA-PBE).
Kinematic intensities with the Lorentz-polarization factor, no thermal factor.

Cell and atoms:
```
K2AgICl4
1.0
5.341 -7.608 0.000
5.341 7.608 0.000
-5.110 0.000 7.426
K Ag I Cl
4 2 2 8
direct
0.000 0.000 0.000
0.000 0.000 0.500
0.000 0.500 0.000
0.500 0.000 0.500
0.000 0.500 0.500
0.500 0.000 0.000
0.500 0.500 0.000
0.500 0.500 0.500
0.146 0.725 0.445
0.193 0.276 0.917
0.275 0.854 0.055
0.276 0.193 0.417
0.724 0.807 0.583
0.725 0.146 0.945
0.807 0.724 0.083
0.854 0.275 0.555
```

Principal peaks in the range 2θ = 15–90°, in order of rising 2θ:
2θ (°)	Rel. int.
20.21	18
20.37	30
20.84	17
23.37	100
23.94	100
26.69	18
33.58	27
33.73	42
41.06	30
41.36	40
41.47	15
47.77	17